This entry pairs a crystal structure of NbGaB3 with its theoretical powder diffractogram. Radiation: λ = 1.5418 Å (Cu Kα). Structure: a cell relaxed with GGA-PBE.

Top 8 peaks for 15° ≤ 2θ ≤ 90°, in order of rising 2θ:
2θ 31.9, 2.801 Å, intensity 100
2θ 39.4, 2.287 Å, intensity 3
2θ 45.8, 1.981 Å, intensity 25
2θ 56.9, 1.617 Å, intensity 38
2θ 66.8, 1.401 Å, intensity 16
2θ 76.0, 1.253 Å, intensity 16
2θ 80.4, 1.195 Å, intensity 1
2θ 84.8, 1.144 Å, intensity 5

Structural model:
Cell: 3.962 3.962 3.962 Å, 90.00 90.00 90.00°
Sites, in units of the cell vectors:
Nb: 0.000 0.000 0.000
Ga: 0.500 0.500 0.500
B: 0.000 0.500 0.500
B: 0.500 0.000 0.500
B: 0.500 0.500 0.000

***

This entry pairs a crystal structure of ScSn4Rh with its theoretical powder diffractogram. Radiation: λ = 1.5418 Å (Cu Kα). Structure: a cell relaxed with GGA-PBE.

Top 8 peaks for 15° ≤ 2θ ≤ 90°, in order of rising 2θ:
2θ 33.8, 2.653 Å, intensity 81
2θ 33.9, 2.645 Å, intensity 100
2θ 38.7, 2.325 Å, intensity 65
2θ 38.8, 2.318 Å, intensity 53
2θ 39.5, 2.281 Å, intensity 43
2θ 51.8, 1.764 Å, intensity 29
2θ 60.6, 1.527 Å, intensity 30
2θ 61.0, 1.520 Å, intensity 43

Structural model:
Cell: 6.432 6.471 6.689 Å, 90.00 90.00 90.00°
Sites, in units of the cell vectors:
Sc: 0.000 0.000 0.000
Sc: 0.500 0.500 0.000
Sn: 0.180 0.296 0.692
Sn: 0.180 0.704 0.308
Sn: 0.319 0.184 0.267
Sn: 0.319 0.816 0.733
Sn: 0.681 0.184 0.733
Sn: 0.681 0.816 0.267
Sn: 0.820 0.296 0.308
Sn: 0.820 0.704 0.692
Rh: 0.000 0.500 0.000
Rh: 0.500 0.500 0.500

***

This entry pairs a crystal structure of CuAg2Br2Cl with its theoretical powder diffractogram. Radiation: λ = 1.5418 Å (Cu Kα). Structure: a cell relaxed with GGA-PBE.

Top 8 peaks for 15° ≤ 2θ ≤ 90°, in order of rising 2θ:
2θ 23.9, 3.726 Å, intensity 92
2θ 24.2, 3.684 Å, intensity 59
2θ 26.1, 3.416 Å, intensity 100
2θ 27.3, 3.271 Å, intensity 64
2θ 27.5, 3.241 Å, intensity 49
2θ 42.3, 2.135 Å, intensity 78
2θ 46.7, 1.943 Å, intensity 68
2θ 50.4, 1.810 Å, intensity 56

Structural model:
Cell: 7.452 7.452 6.833 Å, 90.00 90.00 59.26°
Sites, in units of the cell vectors:
Cu: 0.145 0.855 0.500
Cu: 0.855 0.145 0.000
Ag: 0.165 0.516 0.976
Ag: 0.484 0.835 0.976
Ag: 0.516 0.165 0.476
Ag: 0.835 0.484 0.476
Br: 0.164 0.531 0.378
Br: 0.469 0.836 0.378
Br: 0.531 0.164 0.878
Br: 0.836 0.469 0.878
Cl: 0.137 0.863 0.840
Cl: 0.863 0.137 0.340

***

This entry pairs a crystal structure of TlCd8 with its theoretical powder diffractogram. Radiation: λ = 1.5418 Å (Cu Kα). Structure: a cell relaxed with GGA-PBE.

Top 8 peaks for 15° ≤ 2θ ≤ 90°, in order of rising 2θ:
2θ 32.2, 2.777 Å, intensity 100
2θ 34.4, 2.609 Å, intensity 42
2θ 37.5, 2.398 Å, intensity 33
2θ 38.9, 2.316 Å, intensity 30
2θ 39.2, 2.297 Å, intensity 29
2θ 40.8, 2.214 Å, intensity 26
2θ 51.2, 1.783 Å, intensity 13
2θ 68.8, 1.365 Å, intensity 10

Structural model:
Cell: 5.151 5.933 7.843 Å, 87.97 86.37 64.37°
Sites, in units of the cell vectors:
Tl: 0.000 0.000 0.000
Cd: 0.008 0.336 0.337
Cd: 0.326 0.349 0.999
Cd: 0.330 0.003 0.661
Cd: 0.345 0.660 0.338
Cd: 0.655 0.340 0.662
Cd: 0.670 0.997 0.339
Cd: 0.674 0.651 0.001
Cd: 0.992 0.664 0.663

***

This entry pairs a crystal structure of K4Sr with its theoretical powder diffractogram. Radiation: λ = 1.5418 Å (Cu Kα). Structure: a cell relaxed with GGA-PBE.

Top 8 peaks for 15° ≤ 2θ ≤ 90°, in order of rising 2θ:
2θ 23.8, 3.746 Å, intensity 100
2θ 26.8, 3.331 Å, intensity 37
2θ 28.9, 3.089 Å, intensity 14
2θ 38.2, 2.356 Å, intensity 15
2θ 39.8, 2.265 Å, intensity 24
2θ 45.5, 1.994 Å, intensity 31
2θ 48.2, 1.887 Å, intensity 13
2θ 48.6, 1.873 Å, intensity 13

Structural model:
Cell: 8.063 8.063 8.063 Å, 98.44 98.44 134.94°
Sites, in units of the cell vectors:
K: 0.101 0.298 0.399
K: 0.298 0.899 0.197
K: 0.702 0.101 0.803
K: 0.899 0.702 0.601
Sr: 0.500 0.500 0.000

***

This entry pairs a crystal structure of Rb3Li2Bi2 with its theoretical powder diffractogram. Radiation: λ = 1.5418 Å (Cu Kα). Structure: a cell relaxed with GGA-PBE.

Top 8 peaks for 15° ≤ 2θ ≤ 90°, in order of rising 2θ:
2θ 21.5, 4.131 Å, intensity 44
2θ 22.6, 3.943 Å, intensity 46
2θ 22.9, 3.892 Å, intensity 81
2θ 25.0, 3.564 Å, intensity 83
2θ 26.4, 3.380 Å, intensity 100
2θ 30.3, 2.950 Å, intensity 86
2θ 31.5, 2.844 Å, intensity 60
2θ 39.2, 2.300 Å, intensity 45

Structural model:
Cell: 7.213 9.698 15.771 Å, 90.00 90.00 90.00°
Sites, in units of the cell vectors:
Rb: 0.115 0.121 0.102
Rb: 0.115 0.121 0.398
Rb: 0.115 0.379 0.602
Rb: 0.115 0.379 0.898
Rb: 0.316 0.716 0.750
Rb: 0.316 0.784 0.250
Rb: 0.684 0.216 0.750
Rb: 0.684 0.284 0.250
Rb: 0.885 0.621 0.102
Rb: 0.885 0.621 0.398
Rb: 0.885 0.879 0.602
Rb: 0.885 0.879 0.898
Li: 0.399 0.023 0.587
Li: 0.399 0.023 0.913
Li: 0.399 0.477 0.087
Li: 0.399 0.477 0.413
Li: 0.601 0.523 0.587
Li: 0.601 0.523 0.913
Li: 0.601 0.977 0.087
Li: 0.601 0.977 0.413
Bi: 0.206 0.080 0.750
Bi: 0.206 0.420 0.250
Bi: 0.391 0.750 0.000
Bi: 0.391 0.750 0.500
Bi: 0.609 0.250 0.000
Bi: 0.609 0.250 0.500
Bi: 0.794 0.580 0.750
Bi: 0.794 0.920 0.250

***

This entry pairs a crystal structure of Pm5TmIr4 with its theoretical powder diffractogram. Radiation: λ = 1.5418 Å (Cu Kα). Structure: a cell relaxed with GGA-PBE.

Top 8 peaks for 15° ≤ 2θ ≤ 90°, in order of rising 2θ:
2θ 23.2, 3.834 Å, intensity 27
2θ 35.9, 2.499 Å, intensity 51
2θ 36.4, 2.466 Å, intensity 100
2θ 36.6, 2.456 Å, intensity 98
2θ 37.3, 2.408 Å, intensity 47
2θ 52.4, 1.747 Å, intensity 18
2θ 52.8, 1.734 Å, intensity 34
2θ 64.8, 1.438 Å, intensity 19

Structural model:
Cell: 7.873 7.873 6.989 Å, 90.32 90.32 35.61°
Sites, in units of the cell vectors:
Pm: 0.000 0.000 0.000
Pm: 0.335 0.335 0.501
Pm: 0.335 0.335 0.999
Pm: 0.665 0.665 0.001
Pm: 0.665 0.665 0.499
Tm: 0.000 0.000 0.500
Ir: 0.163 0.163 0.750
Ir: 0.494 0.494 0.742
Ir: 0.506 0.506 0.258
Ir: 0.837 0.837 0.250

***

This entry pairs a crystal structure of Mg14AlSi with its theoretical powder diffractogram. Radiation: λ = 1.5418 Å (Cu Kα). Structure: a cell relaxed with GGA-PBE.

Top 8 peaks for 15° ≤ 2θ ≤ 90°, in order of rising 2θ:
2θ 32.7, 2.738 Å, intensity 24
2θ 36.0, 2.496 Å, intensity 25
2θ 37.5, 2.401 Å, intensity 100
2θ 49.4, 1.845 Å, intensity 15
2θ 58.4, 1.581 Å, intensity 17
2θ 65.6, 1.422 Å, intensity 18
2θ 70.5, 1.336 Å, intensity 19
2θ 71.4, 1.320 Å, intensity 14

Structural model:
Cell: 6.324 6.324 9.986 Å, 90.00 90.00 120.00°
Sites, in units of the cell vectors:
Mg: 0.000 0.000 0.249
Mg: 0.000 0.000 0.751
Mg: 0.007 0.503 0.245
Mg: 0.007 0.503 0.755
Mg: 0.331 0.166 0.000
Mg: 0.335 0.167 0.500
Mg: 0.497 0.503 0.245
Mg: 0.497 0.503 0.755
Mg: 0.497 0.993 0.245
Mg: 0.497 0.993 0.755
Mg: 0.833 0.167 0.500
Mg: 0.833 0.665 0.500
Mg: 0.834 0.166 0.000
Mg: 0.834 0.669 0.000
Al: 0.333 0.667 0.500
Si: 0.333 0.667 0.000